Entry 1:
Calculated powder diffraction line list of Li2VO2F for copper Kα, from a DFT-relaxed cell (PBE+U, the Materials Project).
Peak positions follow from Bragg's law for the DFT cell and can differ from measured ones.

Crystal structure
Lattice parameters (Å, degrees): 7.7889 7.7889 5.1159 108.17 108.17 21.96
Sites, in units of the cell vectors:
Li 0.0866 0.0866 0.2465
Li 0.2588 0.2515 0.7763
Li 0.7485 0.7412 0.2237
Li 0.9134 0.9134 0.7535
V 0.4122 0.4281 0.2296
V 0.5719 0.5878 0.7704
O 0.1766 0.1442 0.9839
O 0.5015 0.4985 0.0000
O 0.8558 0.8234 0.0161
O 0.9719 0.0281 0.5000
F 0.3373 0.3315 0.4884
F 0.6685 0.6627 0.5116

Most intense lines, 2θ = 15–90°, by intensity:
2θ/deg	intensity
43.00	1000
43.67	518
18.50	493
25.12	381
30.76	366
25.58	304
63.05	245
62.87	234
62.63	144
62.25	131

Entry 2:
Calculated powder diffraction line list of Li7VO5F for copper Kα, from a DFT-relaxed cell (PBE+U, the Materials Project).
Peak positions follow from Bragg's law for the DFT cell and can differ from measured ones.

Crystal structure
Lattice parameters (Å, degrees): 5.5228 5.5560 5.7724 61.53 62.92 61.22
Sites, in units of the cell vectors:
Li 0.0000 0.0000 0.0000
Li 0.0190 0.8112 0.6358
Li 0.2657 0.4335 0.9868
Li 0.3760 0.2140 0.6523
Li 0.5620 0.7034 0.9742
Li 0.7448 0.4498 0.6747
Li 0.8090 0.2970 0.2842
V 0.5306 0.9131 0.2999
O 0.2672 0.0409 0.1015
O 0.4229 0.5609 0.5599
O 0.6178 0.2936 0.0730
O 0.6815 0.8734 0.5611
O 0.8619 0.6988 0.0789
F 0.0943 0.1529 0.5899

Most intense lines, 2θ = 15–90°, by intensity:
2θ/deg	intensity
19.66	1000
19.18	994
19.31	914
36.47	879
37.34	836
22.33	753
37.84	659
22.18	641
21.81	625
18.29	623

Entry 3:
Calculated powder diffraction line list of Li6V2O5F2 for copper Kα, from a DFT-relaxed cell (PBE+U, the Materials Project).
Peak positions follow from Bragg's law for the DFT cell and can differ from measured ones.

Crystal structure
Lattice parameters (Å, degrees): 5.8783 5.8794 9.8712 90.33 99.13 119.34
Sites, in units of the cell vectors:
Li 0.0000 0.0000 0.0000
Li 0.0010 0.7345 0.4890
Li 0.2535 0.8474 0.2688
Li 0.2830 0.5980 0.7824
Li 0.4411 0.1740 0.4967
Li 0.4463 0.4390 0.0007
Li 0.7182 0.5918 0.7995
Li 0.7228 0.0424 0.7801
Li 0.7289 0.8300 0.2794
Li 0.7447 0.3355 0.2927
Li 0.9833 0.4205 0.9822
Li 0.9995 0.1834 0.4932
V 0.2244 0.0690 0.7582
V 0.2567 0.3425 0.2642
V 0.4878 0.9552 0.0241
V 0.4941 0.7085 0.5209
O 0.1058 0.0259 0.3642
O 0.1063 0.2599 0.8625
O 0.1349 0.5215 0.3942
O 0.3605 0.6552 0.1448
O 0.3611 0.8829 0.6391
O 0.3661 0.1518 0.1364
O 0.5816 0.2380 0.8873
O 0.6099 0.5219 0.3961
O 0.6204 0.7778 0.9176
O 0.8575 0.8715 0.6383
F 0.1014 0.7562 0.8910
F 0.3682 0.3835 0.6372
F 0.6247 0.0307 0.4031
F 0.8682 0.1808 0.1385

Most intense lines, 2θ = 15–90°, by intensity:
2θ/deg	intensity
43.44	1000
17.60	867
42.98	518
19.06	480
18.85	443
27.80	290
63.28	264
24.27	252
24.06	245
62.96	243